Simulated XRD peak list
Compound: Ba4Pa6O19
Radiation: CuKα
Structure: a GGA-PBE-relaxed structure

Atomic structure:
```
data_Ba4Pa6O19
_chemical_formula_sum 'Ba8 Pa12 O38'
_space_group_name_H-M_alt 'I 2 3'
_space_group_IT_number 197
_space_group_name_Hall 'I 2 2 3'
_cell_length_a 10.3897
_cell_length_b 10.3897
_cell_length_c 10.3897
_cell_angle_alpha 90.00
_cell_angle_beta 90.00
_cell_angle_gamma 90.00
loop_
_atom_site_label
_atom_site_type_symbol
_atom_site_fract_x
_atom_site_fract_y
_atom_site_fract_z
Ba1 Ba 0.1460 0.1460 0.8540
Pa1 Pa 0.0000 0.3303 0.5000
O1 O 0.0000 0.0000 0.0000
O2 O 0.0000 0.0000 0.3719
O3 O 0.0073 0.3278 0.7094
```

Peak list (6 most intense, 2θ from 10° to 90°, in order of falling intensity)
| Position (°2θ) | Rel. int. |
| --- | --- |
| 27.1 | 100.0 |
| 32.2 | 71.8 |
| 44.5 | 46.6 |
| 20.9 | 29.8 |
| 12.0 | 29.3 |
| 52.9 | 27.2 |